(1)
CsNa2Cd2In2: computed powder diffractogram (copper Kα), based on a cell relaxed with PBE.

```
data_CsNa2Cd2In2
_chemical_formula_sum 'Cs2 Na4 Cd4 In4'
_space_group_name_H-M_alt 'C 1 2/m 1'
_space_group_IT_number 12
_space_group_name_Hall '-C 2y'
_cell_length_a 9.114
_cell_length_b 5.265
_cell_length_c 10.318
_cell_angle_alpha 90.00
_cell_angle_beta 107.31
_cell_angle_gamma 90.00
loop_
_atom_site_label
_atom_site_fract_x
_atom_site_fract_y
_atom_site_fract_z
_atom_site_occupancy
Cs1 0.000 0.000 0.000 1
Na1 0.136 0.000 0.411 1
Cd1 0.243 0.000 0.725 1
In1 0.057 0.500 0.668 1
```

Top 10 peaks for 2θ from 10° to 90°, low angle first:
2θ (°), I (rel.), h k l
22.92, 80, 2 0 -2
24.66, 26, 1 1 -2
27.16, 33, 0 0 3
28.82, 29, 1 1 2
34.07, 100, 0 2 0
36.23, 21, 1 1 3
41.46, 17, 2 2 -2
44.07, 35, 3 1 -4
44.17, 17, 3 1 2
60.98, 18, 6 0 -2



(2)
CsRb2Cd2In: computed powder diffractogram (copper Kα), based on a cell relaxed with PBE.

```
data_CsRb2Cd2In
_chemical_formula_sum 'Cs2 Rb4 Cd4 In2'
_space_group_name_H-M_alt 'P m c 21'
_space_group_IT_number 26
_space_group_name_Hall 'P 2c -2'
_cell_length_a 5.446
_cell_length_b 10.124
_cell_length_c 10.287
_cell_angle_alpha 90.00
_cell_angle_beta 90.00
_cell_angle_gamma 90.00
loop_
_atom_site_label
_atom_site_fract_x
_atom_site_fract_y
_atom_site_fract_z
_atom_site_occupancy
Cs1 0.000 0.045 0.000 1
Rb1 0.000 0.326 0.629 1
Rb2 0.500 0.406 0.968 1
Cd1 0.000 0.323 0.270 1
Cd2 0.500 0.063 0.743 1
In1 0.500 0.232 0.320 1
```

Top 10 peaks for 2θ from 10° to 90°, low angle first:
2θ (°), I (rel.), h k l
12.27, 22, 0 1 1
23.80, 20, 1 0 2
25.39, 100, 1 1 2
25.54, 38, 1 2 1
27.46, 35, 0 1 3
27.82, 34, 0 3 1
32.89, 41, 2 0 0
43.37, 20, 2 1 3
43.61, 20, 2 3 1
47.68, 28, 1 4 3



(3)
Cs2Cd4In3Sn: computed powder diffractogram (copper Kα), based on a cell relaxed with PBE.

```
data_Cs2Cd4In3Sn
_chemical_formula_sum 'Cs2 Cd4 In3 Sn1'
_space_group_name_H-M_alt 'P -4 m 2'
_space_group_IT_number 115
_space_group_name_Hall 'P -4 -2'
_cell_length_a 5.100
_cell_length_b 5.100
_cell_length_c 12.708
_cell_angle_alpha 90.00
_cell_angle_beta 90.00
_cell_angle_gamma 90.00
loop_
_atom_site_label
_atom_site_fract_x
_atom_site_fract_y
_atom_site_fract_z
_atom_site_occupancy
Cs1 0.000 0.500 0.249 1
Cd1 0.000 0.000 0.000 1
Cd2 0.000 0.500 0.635 1
Cd3 0.500 0.500 0.000 1
In1 0.000 0.500 0.874 1
In2 0.500 0.500 0.500 1
Sn1 0.000 0.000 0.500 1
```

Top 10 peaks for 2θ from 10° to 90°, low angle first:
2θ (°), I (rel.), h k l
27.37, 59, 1 0 3
28.46, 100, 1 1 2
35.19, 70, 2 0 0
37.74, 36, 1 1 4
39.62, 28, 1 0 5
45.15, 29, 2 1 3
50.63, 25, 2 2 0
54.02, 22, 2 1 5
59.10, 25, 3 1 2
69.75, 17, 2 0 8



(4)
Cs2Tl6CdIn: computed powder diffractogram (copper Kα), based on a cell relaxed with PBE.

```
data_Cs2Tl6CdIn
_chemical_formula_sum 'Cs12 Tl36 Cd6 In6'
_space_group_name_H-M_alt 'R -3 m'
_space_group_IT_number 166
_space_group_name_Hall '-R 3 2"'
_cell_length_a 8.0819
_cell_length_b 8.0819
_cell_length_c 42.3897
_cell_angle_alpha 90.00
_cell_angle_beta 90.00
_cell_angle_gamma 120.00
loop_
_atom_site_label
_atom_site_fract_x
_atom_site_fract_y
_atom_site_fract_z
_atom_site_occupancy
Cs1 0.0000 0.0000 0.1471 1
Cs2 0.0000 0.0000 0.2950 1
Tl1 0.0195 0.5097 0.1126 1
Tl2 0.0697 0.5349 0.7299 1
Cd1 0.0000 0.0000 0.3798 1
In1 0.0000 0.0000 0.0000 1
In2 0.0000 0.0000 0.5000 1
```

Top 10 peaks for 2θ from 10° to 90°, low angle first:
2θ (°), I (rel.), h k l
12.53, 62, 0 0 6
13.32, 39, 0 1 2
25.39, 45, 1 1 6
27.57, 100, 2 0 5
29.48, 51, 0 2 7
30.24, 44, 1 0 13
30.61, 83, 2 0 8
37.71, 34, 0 2 13
44.08, 32, 2 1 13
44.86, 65, 2 2 0